This entry pairs a crystal structure of ErTa4N6 with its theoretical powder X-ray diffraction pattern. Radiation: Cu Kα. Structure: a structure optimized by DFT (PBE).
No peak broadening, texture or thermal motion is included.

The 12 most intense peaks (2θ from 15° to 90°), sorted by position:
| 2theta | I/Imax |
| --- | --- |
| 32.1 | 33 |
| 33.5 | 100 |
| 34.6 | 61 |
| 35.0 | 37 |
| 37.9 | 17 |
| 39.5 | 16 |
| 40.8 | 50 |
| 42.9 | 25 |
| 56.2 | 20 |
| 58.9 | 18 |
| 59.3 | 18 |
| 69.9 | 25 |

Structure:
Cell: 5.360 5.360 15.671 Å, 90.00 90.00 146.20°
Fractional coordinates of all 22 atoms:
Er: 0.153 0.847 0.750
Er: 0.847 0.153 0.250
Ta: 0.102 0.898 0.131
Ta: 0.102 0.898 0.369
Ta: 0.354 0.646 0.042
Ta: 0.354 0.646 0.458
Ta: 0.646 0.354 0.542
Ta: 0.646 0.354 0.958
Ta: 0.898 0.102 0.631
Ta: 0.898 0.102 0.869
N: 0.000 0.000 0.000
N: 0.000 0.000 0.500
N: 0.175 0.825 0.250
N: 0.264 0.736 0.594
N: 0.264 0.736 0.906
N: 0.463 0.537 0.159
N: 0.463 0.537 0.341
N: 0.537 0.463 0.659
N: 0.537 0.463 0.841
N: 0.736 0.264 0.094
N: 0.736 0.264 0.406
N: 0.825 0.175 0.750

***

This entry pairs a crystal structure of KBa12Sr3 with its theoretical powder X-ray diffraction pattern. Radiation: Cu Kα. Structure: a structure optimized by DFT (PBE).
No peak broadening, texture or thermal motion is included.

The 12 most intense peaks (2θ from 15° to 90°), sorted by position:
| 2theta | I/Imax |
| --- | --- |
| 24.4 | 100 |
| 28.1 | 35 |
| 28.3 | 17 |
| 40.2 | 13 |
| 40.4 | 25 |
| 47.6 | 32 |
| 47.8 | 15 |
| 49.9 | 14 |
| 64.0 | 7 |
| 64.2 | 12 |
| 73.2 | 9 |
| 78.3 | 8 |

Structure:
Cell: 6.343 6.343 25.194 Å, 90.00 90.00 90.00°
Fractional coordinates of all 16 atoms:
K: 0.000 0.000 0.000
Ba: 0.000 0.500 0.131
Ba: 0.000 0.500 0.377
Ba: 0.000 0.500 0.623
Ba: 0.000 0.500 0.869
Ba: 0.500 0.000 0.131
Ba: 0.500 0.000 0.377
Ba: 0.500 0.000 0.623
Ba: 0.500 0.000 0.869
Ba: 0.500 0.500 0.000
Ba: 0.500 0.500 0.254
Ba: 0.500 0.500 0.500
Ba: 0.500 0.500 0.746
Sr: 0.000 0.000 0.255
Sr: 0.000 0.000 0.500
Sr: 0.000 0.000 0.745